Theoretical powder diffractogram of LiSc2Au for CuKα, from a DFT-relaxed cell (GGA-PBE, the Materials Project).
Lines closer than 0.1° are merged.

Structural model:
Cell lengths 6.7822, 6.7822, 6.7822 Å; angles 90.00, 90.00, 90.00 degrees
Space group Fm-3m (No. 225)
Asymmetric unit:
Li: 0.0000 0.0000 0.0000
Sc: 0.2500 0.2500 0.2500
Au: 0.0000 0.0000 0.5000

Top 6 peaks for 10 to 80 degrees two-theta, in order of falling intensity:
h k l  2θ (°)  Rel. int.
1 1 1  22.7  100
2 2 0  37.5  98
3 1 1  44.3  54
4 2 2  67.7  33
3 3 1  59.4  23
2 0 0  26.3  17